For NdPtAu, the GGA-PBE geometry in Alexandria gives the calculated XRD peak list in this record (Cu Kα, 1.54184 Å).

Most intense lines, 2θ from 10° to 90°, sorted by position:
2θ (°)	intensity
23.78	329
32.26	1000
33.71	689
36.35	539
40.18	731
48.67	238
50.41	448
62.24	229
64.88	360
69.75	197

Atomic structure:
```
data_NdPtAu
_chemical_formula_sum 'Nd4 Pt4 Au4'
_cell_length_a 4.943
_cell_length_b 7.484
_cell_length_c 7.557
_cell_angle_alpha 90.00
_cell_angle_beta 90.00
_cell_angle_gamma 90.00
_space_group_name_H-M_alt 'I m m a'
_space_group_IT_number 74
_space_group_name_Hall '-I 2b 2'
loop_
_atom_site_label
_atom_site_type_symbol
_atom_site_fract_x
_atom_site_fract_y
_atom_site_fract_z
Nd1 Nd 0.000 0.000 0.000
Pt1 Pt 0.000 0.250 0.303
Au1 Au 0.000 0.250 0.663
```